# PuAl9Ir3
Computed PXRD pattern, Cu Kα (λ = 1.5418 Å). Input: a DFT-relaxed cell (PBE, Alexandria).

Top 10 peaks for 10° ≤ 2θ ≤ 90°, sorted by position:
- 2θ 14.2, rel. 96.6
- 2θ 19.4, rel. 93.6
- 2θ 20.1, rel. 72.3
- 2θ 27.8, rel. 46.8
- 2θ 28.0, rel. 44.5
- 2θ 28.5, rel. 72.5
- 2θ 28.6, rel. 68.2
- 2θ 39.0, rel. 100.0
- 2θ 39.3, rel. 94.3
- 2θ 40.8, rel. 99.8

Crystal structure
Lattice parameters (Å, degrees): 6.8281 6.8281 6.7701 98.76 98.76 133.50
Fractional positions:
Pu (0.0000, 0.0000, 0.0000)
Al (0.0000, 0.0000, 0.5000)
Al (0.0000, 0.3547, 0.3379)
Al (0.0000, 0.6453, 0.6621)
Al (0.2892, 0.5104, 0.7872)
Al (0.3547, 0.0000, 0.3379)
Al (0.4896, 0.7108, 0.2128)
Al (0.5104, 0.2892, 0.7872)
Al (0.6453, 0.0000, 0.6621)
Al (0.7108, 0.4896, 0.2128)
Ir (0.0000, 0.5000, 0.0000)
Ir (0.5000, 0.0000, 0.0000)
Ir (0.5000, 0.5000, 0.5000)